# CrH12N3O8
Theoretical X-ray powder pattern, Cu Kα. Input: the PBE+U geometry in Alexandria.
No peak broadening, texture or thermal motion is included.

Top 8 peaks for 2θ from 15° to 90°, in order of rising 2θ:
(hkl)  Position (°2θ)  Rel. int.
1 1 1  16.01  1000
0 2 0  16.98  146
2 0 0  19.08  101
0 0 2  19.37  144
0 2 2  25.86  279
2 0 2  27.32  257
3 1 1  31.63  65
4 0 0  38.71  71

Structural model:
Lattice parameters (Å, degrees): 9.3054 10.4464 9.1660 90.00 90.00 90.00
Space group Cmc2_1 (No. 36)
One atom of each set of equivalent atoms:
Cr  0.0000  0.2386  0.0000 x4
H  0.0000  0.1028  0.5406 x4
H  0.0000  0.1675  0.3731 x4
H  0.0950  0.2390  0.5056 x8
H  0.1543  0.4721  0.1817 x8
H  0.1657  0.4431  0.8376 x8
H  0.2069  0.0784  0.2050 x8
H  0.2120  0.0621  0.8017 x8
N  0.0000  0.1898  0.4840 x4
N  0.2267  0.4869  0.7560 x8
O  0.0000  0.0598  0.0661 x4
O  0.0000  0.1514  0.1850 x4
O  0.0000  0.4025  0.1004 x4
O  0.0000  0.4206  0.9445 x4
O  0.1447  0.2058  0.8567 x8
O  0.2101  0.2365  0.9955 x8